Starting from DFT lattice parameters and positions (PBE), the X-ray diffraction stick pattern of Bi2O5 was computed for Cu Kα X-rays.
Lines closer than 0.1° are merged.

Cell and atoms:
```
data_Bi2O5
_chemical_formula_sum 'Bi4 O10'
_cell_length_a 4.169
_cell_length_b 4.253
_cell_length_c 13.940
_cell_angle_alpha 89.87
_cell_angle_beta 89.98
_cell_angle_gamma 89.98
_space_group_name_H-M_alt 'P 1'
_space_group_IT_number 1
_space_group_name_Hall 'P 1'
loop_
_atom_site_label
_atom_site_fract_x
_atom_site_fract_y
_atom_site_fract_z
_atom_site_occupancy
Bi1 0.000 0.000 0.000 1
Bi2 0.000 0.004 0.298 1
Bi3 0.078 0.499 0.500 1
Bi4 0.078 0.503 0.798 1
O1 0.030 0.501 0.958 1
O2 0.031 0.502 0.340 1
O3 0.048 0.001 0.458 1
O4 0.048 0.002 0.840 1
O5 0.094 0.002 0.149 1
O6 0.507 0.009 0.004 1
O7 0.507 0.992 0.294 1
O8 0.571 0.496 0.795 1
O9 0.572 0.513 0.503 1
O10 0.985 0.501 0.649 1
```

Most intense lines, 5 to 70 degrees two-theta, in order of rising 2θ:
(0 0 2), d = 6.970 Å, 12.70 deg, I 36; (1 0 0), d = 4.169 Å, 21.31 deg, I 100; (0 1 -1), d = 4.067 Å, 21.85 deg, I 80; (0 0 4), d = 3.485 Å, 25.56 deg, I 46; (0 1 3), d = 3.137 Å, 28.45 deg, I 79; (1 1 -1), d = 2.911 Å, 30.71 deg, I 46; (1 0 4), d = 2.674 Å, 33.52 deg, I 30; (1 1 3), d = 2.507 Å, 35.82 deg, I 58